For VCu3Cl9, a crystal structure in Alexandria, relaxed with GGA-PBE gives the simulated powder X-ray diffraction pattern in this record (Cu Ka).

Cell: 16.5043 8.8207 11.7951 Å, 90.00 128.69 90.00°
Space group Cc (No. 9)
Asymmetric unit:
V: 0.0000 0.2221 0.0000
Cu: 0.1333 0.4325 0.8425
Cu: 0.2692 0.0556 0.7790
Cu: 0.3640 0.3730 0.6697
Cl: 0.0036 0.0944 0.1792
Cl: 0.1024 0.4174 0.1477
Cl: 0.1368 0.0680 0.0688
Cl: 0.1920 0.3744 0.4965
Cl: 0.2200 0.2228 0.8704
Cl: 0.3583 0.1384 0.4470
Cl: 0.3770 0.4467 0.3308
Cl: 0.3991 0.1603 0.7964
Cl: 0.4936 0.1760 0.3137

Main lines, in order of rising 2θ (2θ from 10° to 90°):
2theta, d_spacing, Rel. int., (hkl)
18.0, 4.926, 100, 1 1 1
18.8, 4.715, 20, 1 1 -2
19.3, 4.603, 17, 0 0 2
20.1, 4.426, 59, 3 1 -2
23.0, 3.861, 22, 3 1 0
24.9, 3.572, 16, 3 1 -3
29.0, 3.082, 22, 5 1 -2
30.8, 2.906, 50, 2 2 -3

=====

For Cu3WCl9, a crystal structure in Alexandria, relaxed with GGA-PBE gives the simulated powder X-ray diffraction pattern in this record (Cu Ka).

Cell: 17.1054 8.5398 12.3407 Å, 90.00 120.70 90.00°
Space group Cc (No. 9)
Asymmetric unit:
Cu: 0.0000 0.1273 0.0000
Cu: 0.3440 0.3712 0.7539
Cu: 0.4915 0.1313 0.6878
W: 0.1414 0.1936 0.8060
Cl: 0.0099 0.1049 0.6200
Cl: 0.0446 0.3928 0.8089
Cl: 0.0898 0.3032 0.1370
Cl: 0.0956 0.0300 0.9183
Cl: 0.1778 0.3346 0.6780
Cl: 0.2311 0.0087 0.3135
Cl: 0.2555 0.3073 0.9848
Cl: 0.3595 0.4014 0.3376
Cl: 0.3629 0.1526 0.6827

Main lines, in order of rising 2θ (2θ from 10° to 90°):
2theta, d_spacing, Rel. int., (hkl)
12.0, 7.365, 44, 2 0 0
12.7, 6.955, 28, 1 1 -1
16.3, 5.443, 100, 1 1 1
16.7, 5.305, 30, 0 0 2
20.2, 4.403, 23, 3 1 -2
21.2, 4.183, 18, 4 0 -2
24.6, 3.619, 21, 3 1 -3
30.2, 2.962, 23, 2 2 -3

=====

For ZnCu2Cl4, a crystal structure in Alexandria, relaxed with GGA-PBE gives the simulated powder X-ray diffraction pattern in this record (Cu Ka).

Cell: 7.3961 7.3961 6.2188 Å, 90.00 90.00 90.00°
Space group I4/m (No. 87)
Asymmetric unit:
Zn: 0.0000 0.0000 0.0000
Cu: 0.0000 0.5000 0.2500
Cl: 0.1256 0.7025 0.0000

Main lines, in order of rising 2θ (2θ from 10° to 90°):
2theta, d_spacing, Rel. int., (hkl)
17.0, 5.230, 54, 1 1 0
18.6, 4.760, 93, 1 0 1
24.1, 3.698, 52, 2 0 0
30.6, 2.920, 54, 2 1 1
33.5, 2.673, 66, 1 1 2
34.3, 2.615, 42, 2 2 0
48.7, 1.869, 100, 3 1 2
55.6, 1.654, 33, 2 4 0

=====

For ZrCu2Cl6, a crystal structure in Alexandria, relaxed with GGA-PBE gives the simulated powder X-ray diffraction pattern in this record (Cu Ka).

Cell: 6.1298 11.7498 11.8156 Å, 61.82 88.82 89.57°
Space group P1 (No. 1)
Asymmetric unit:
Zr: 0.0000 0.0000 0.0000
Zr: 0.0310 0.3402 0.3292
Zr: 0.5270 0.6671 0.6641
Cu: 0.0899 0.7348 0.7292
Cu: 0.4296 0.0638 0.0657
Cu: 0.4530 0.4200 0.4089
Cu: 0.4640 0.1951 0.4006
Cu: 0.5763 0.9336 0.9300
Cu: 0.9522 0.5984 0.5951
Cl: 0.2282 0.8939 0.1984
Cl: 0.2351 0.2003 0.8986
Cl: 0.2347 0.8977 0.8920
Cl: 0.2606 0.5406 0.2363
Cl: 0.2631 0.2352 0.5439
Cl: 0.2678 0.2334 0.2310
Cl: 0.2861 0.5658 0.8626
Cl: 0.2934 0.8686 0.5591
Cl: 0.3012 0.5615 0.5604
Cl: 0.7458 0.7752 0.7657
Cl: 0.7567 0.4674 0.7691
Cl: 0.7615 0.7706 0.4630
Cl: 0.7680 0.1020 0.1057
Cl: 0.7687 0.7985 0.0990
Cl: 0.7759 0.1055 0.7995
Cl: 0.7968 0.4279 0.1507
Cl: 0.8031 0.4357 0.4488
Cl: 0.8085 0.1322 0.4429

Main lines, in order of rising 2θ (2θ from 10° to 90°):
2theta, d_spacing, Rel. int., (hkl)
14.6, 6.052, 100, 0 1 -1
15.0, 5.890, 84, 0 1 2
27.4, 3.260, 9, 1 3 2
29.7, 3.006, 13, 1 3 0
30.5, 2.933, 21, -1 3 3
38.8, 2.319, 10, 2 0 3
41.7, 2.168, 11, 2 -2 2
44.9, 2.017, 13, 0 3 -3

=====

For Dy4FeCl5, a crystal structure in Alexandria, relaxed with GGA-PBE gives the simulated powder X-ray diffraction pattern in this record (Cu Ka).

Cell: 18.5149 3.7789 8.6276 Å, 90.00 90.31 90.00°
Space group C2/m (No. 12)
Asymmetric unit:
Dy: 0.0001 0.0000 0.2357
Dy: 0.1296 0.5000 0.0014
Fe: 0.0000 0.5000 0.0000
Cl: 0.0000 0.5000 0.5000
Cl: 0.1523 0.0000 0.2291
Cl: 0.1523 0.0000 0.7742

Main lines, in order of rising 2θ (2θ from 10° to 90°):
2theta, d_spacing, Rel. int., (hkl)
10.3, 8.627, 100, 0 0 1
21.8, 4.079, 19, 4 0 1
28.9, 3.086, 21, 6 0 0
31.9, 2.810, 94, 1 1 -2
38.9, 2.314, 15, 8 0 0
41.9, 2.157, 15, 0 0 4
46.8, 1.940, 20, 7 1 -2
47.0, 1.933, 20, 7 1 2

=====

For DyGa3Cl6, a crystal structure in Alexandria, relaxed with GGA-PBE gives the simulated powder X-ray diffraction pattern in this record (Cu Ka).

Cell: 12.3716 12.3716 14.1634 Å, 90.00 90.00 120.00°
Space group R-3c (No. 167, hexagonal axes)
Asymmetric unit:
Dy: 0.0000 0.0000 0.0000
Ga: 0.9999 0.3333 0.0833
Cl: 0.0460 0.1979 0.8977

Main lines, in order of rising 2θ (2θ from 10° to 90°):
2theta, d_spacing, Rel. int., (hkl)
15.0, 5.908, 100, 0 1 2
20.8, 4.272, 63, 2 0 2
23.7, 3.753, 35, 1 1 3
24.9, 3.571, 74, 3 0 0
32.7, 2.740, 42, 3 1 2
33.6, 2.666, 52, 2 1 4
34.7, 2.587, 77, 2 2 3
43.9, 2.062, 31, 3 3 0

=====

For DyGa2Cl5, a crystal structure in Alexandria, relaxed with GGA-PBE gives the simulated powder X-ray diffraction pattern in this record (Cu Ka).

Cell: 16.2042 7.3704 10.0870 Å, 90.00 119.81 90.00°
Space group Cc (No. 9)
Asymmetric unit:
Dy: 0.0000 0.0000 0.0000
Ga: 0.1315 0.4687 0.2491
Ga: 0.3691 0.0308 0.7522
Cl: 0.0000 0.1370 0.7500
Cl: 0.0658 0.3140 0.4674
Cl: 0.1718 0.1351 0.1718
Cl: 0.3282 0.3650 0.8282
Cl: 0.4342 0.1861 0.5330

Main lines, in order of rising 2θ (2θ from 10° to 90°):
2theta, d_spacing, Rel. int., (hkl)
12.6, 7.030, 100, 2 0 0
17.8, 4.992, 68, 2 0 -2
21.7, 4.099, 82, 1 1 -2
22.5, 3.955, 77, 3 1 0
33.8, 2.652, 52, 4 2 -2
34.1, 2.627, 45, 5 1 0
37.7, 2.385, 46, 3 1 -4
44.3, 2.046, 40, 1 3 2

=====

For NaDyGa2Cl6, a crystal structure in Alexandria, relaxed with GGA-PBE gives the simulated powder X-ray diffraction pattern in this record (Cu Ka).

Cell: 7.0826 7.6516 12.3534 Å, 90.00 123.14 90.00°
Space group P2_1/c (No. 14)
Asymmetric unit:
Na: 0.0000 0.0000 0.0000
Dy: 0.5000 0.0000 0.5000
Ga: 0.2083 0.0738 0.7262
Cl: 0.1423 0.1782 0.4548
Cl: 0.2514 0.7121 0.4281
Cl: 0.3852 0.0492 0.2584

Main lines, in order of rising 2θ (2θ from 10° to 90°):
2theta, d_spacing, Rel. int., (hkl)
14.4, 6.152, 100, 0 1 1
24.0, 3.709, 59, 1 1 1
24.6, 3.624, 58, 1 1 -3
27.8, 3.214, 33, 1 2 0
28.9, 3.093, 41, 2 1 -1
29.2, 3.062, 34, 1 0 -4
34.5, 2.598, 46, 2 2 -2
43.3, 2.090, 30, 3 1 -1

=====

For RbDyGa2Cl6, a crystal structure in Alexandria, relaxed with GGA-PBE gives the simulated powder X-ray diffraction pattern in this record (Cu Ka).

Cell: 7.5778 7.5867 8.0060 Å, 61.79 61.76 60.05°
Space group P1 (No. 1)
Asymmetric unit:
Rb: 0.0000 0.0000 0.0000
Dy: 0.4873 0.4876 0.5374
Ga: 0.2934 0.2936 0.1198
Ga: 0.7996 0.7992 0.6015
Cl: 0.1151 0.4312 0.7976
Cl: 0.2482 0.8420 0.3346
Cl: 0.4308 0.6549 0.7985
Cl: 0.5751 0.2489 0.3338
Cl: 0.6548 0.1161 0.7980
Cl: 0.8420 0.5755 0.3345

Main lines, in order of rising 2θ (2θ from 10° to 90°):
2theta, d_spacing, Rel. int., (hkl)
16.1, 5.500, 72, 1 1 0
22.3, 3.993, 77, 1 1 2
23.5, 3.792, 71, 2 1 1
27.0, 3.301, 39, 2 1 0
32.6, 2.750, 40, 2 2 0
35.7, 2.512, 100, 1 2 3
40.5, 2.226, 44, 1 -2 1
41.2, 2.189, 52, 3 3 2